Diffraction record for Be2AlTc. The XRD peak list is theoretical, not measured: it uses a crystal structure in OQMD, relaxed with PBE and Cu Kα X-rays.
Peak positions follow from Bragg's law for the DFT cell and can differ from measured ones.

Structure:
Cell lengths 5.718, 5.718, 5.718 Å; angles 90.00, 90.00, 90.00 degrees
Space group F-43m (No. 216)
One atom of each set of equivalent atoms:
Be  0.000  0.000  0.000 x4
Be  0.250  0.250  0.250 x4
Al  0.000  0.000  0.500 x4
Tc  0.250  0.250  0.750 x4

Principal peaks in the range 10° ≤ 2θ ≤ 90°, by intensity:
hkl	two_theta	Rel. int.
1 1 1	27.0	100
2 2 0	44.8	77
3 1 1	53.1	45
2 0 0	31.3	30
4 2 2	82.7	25
3 3 1	72.0	18
5 1 1	88.9	14
4 0 0	65.3	12
4 2 0	74.2	9
2 2 2	55.7	7